Entry 1:
This entry pairs a crystal structure of Hf6GaTc5 with its calculated XRD peak list. Radiation: Cu Kα X-rays. Structure: the GGA-PBE geometry in Alexandria.

Structure:
Cell: 8.0102 8.0102 4.6020 Å, 106.60 106.60 48.80°
Atoms (fractional coordinates):
Hf 0.0744 0.5851 0.3296
Hf 0.2373 0.7627 0.0000
Hf 0.4149 0.9256 0.6704
Hf 0.5851 0.0744 0.3296
Hf 0.7627 0.2373 0.0000
Hf 0.9256 0.4149 0.6704
Ga 0.5000 0.5000 0.5000
Tc 0.0000 0.0000 0.5000
Tc 0.1675 0.1675 0.1677
Tc 0.3384 0.3384 0.8382
Tc 0.6616 0.6616 0.1618
Tc 0.8325 0.8325 0.8323

Peak list (10 most intense, 15° ≤ 2θ ≤ 90°, low angle first)
2theta  I/Imax
27.36  10.5
38.78  100.0
39.01  24.5
39.15  24.6
55.54  8.6
56.40  8.4
70.00  17.0
70.51  16.7
70.70  17.0
83.20  10.7

---

Entry 2:
This entry pairs a crystal structure of ScPtAu3 with its calculated XRD peak list. Radiation: Cu Kα X-rays. Structure: the GGA-PBE geometry in Alexandria.

Structure:
Cell: 4.7282 5.3009 7.8357 Å, 90.00 107.31 90.00°
Atoms (fractional coordinates):
Sc 0.1313 0.2500 0.2554
Sc 0.8687 0.7500 0.7446
Pt 0.0565 0.7500 0.1136
Pt 0.9435 0.2500 0.8864
Au 0.2609 0.7500 0.5276
Au 0.3325 0.2500 0.6621
Au 0.5000 0.0000 0.0000
Au 0.5000 0.5000 0.0000
Au 0.6675 0.7500 0.3379
Au 0.7391 0.2500 0.4724

Peak list (10 most intense, 15° ≤ 2θ ≤ 90°, low angle first)
2theta  I/Imax
20.53  46.9
33.82  28.8
35.43  28.0
35.58  29.2
35.95  34.7
38.06  76.6
39.43  100.0
39.55  63.1
43.13  80.9
64.32  30.9

---

Entry 3:
This entry pairs a crystal structure of AcDyZn2Si2 with its calculated XRD peak list. Radiation: Cu Kα X-rays. Structure: the GGA-PBE geometry in Alexandria.

Structure:
Cell: 4.1978 4.1978 8.6461 Å, 90.00 90.00 120.00°
Atoms (fractional coordinates):
Ac 0.0000 0.0000 0.0000
Dy 0.0000 0.0000 0.5000
Zn 0.3333 0.6667 0.7289
Zn 0.6667 0.3333 0.2711
Si 0.3333 0.6667 0.2753
Si 0.6667 0.3333 0.7247

Peak list (10 most intense, 15° ≤ 2θ ≤ 90°, low angle first)
2theta  I/Imax
24.49  33.6
26.60  7.6
32.17  100.0
41.79  10.8
43.10  33.2
49.03  12.4
54.79  22.3
61.59  20.6
70.27  9.4
72.13  19.6

---

Entry 4:
This entry pairs a crystal structure of K4LaDy3Te8 with its calculated XRD peak list. Radiation: Cu Kα X-rays. Structure: the GGA-PBE geometry in Alexandria.

Structure:
Cell: 9.7736 9.7736 9.7736 Å, 55.50 55.50 55.50°
Atoms (fractional coordinates):
K 0.0000 0.0000 0.0000
K 0.0000 0.5000 0.5000
K 0.5000 0.0000 0.5000
K 0.5000 0.5000 0.0000
La 0.5000 0.5000 0.5000
Dy 0.0000 0.0000 0.5000
Dy 0.0000 0.5000 0.0000
Dy 0.5000 0.0000 0.0000
Te 0.2272 0.7420 0.7420
Te 0.2357 0.2357 0.2357
Te 0.2580 0.2580 0.7728
Te 0.2580 0.7728 0.2580
Te 0.7420 0.2272 0.7420
Te 0.7420 0.7420 0.2272
Te 0.7643 0.7643 0.7643
Te 0.7728 0.2580 0.2580

Peak list (10 most intense, 15° ≤ 2θ ≤ 90°, low angle first)
2theta  I/Imax
26.83  100.0
34.09  18.0
36.96  35.0
39.61  37.1
41.16  10.6
46.52  11.7
48.49  19.2
55.29  10.6
60.63  11.4
64.33  16.0

---

Entry 5:
This entry pairs a crystal structure of La2PrSmEr2 with its calculated XRD peak list. Radiation: Cu Kα X-rays. Structure: the GGA-PBE geometry in Alexandria.

Structure:
Cell: 5.6917 10.3987 6.9700 Å, 90.00 90.00 90.00°
Atoms (fractional coordinates):
La 0.0000 0.0250 0.0000
La 0.0000 0.9750 0.5000
La 0.5000 0.1993 0.2675
La 0.5000 0.8007 0.7675
Pr 0.0000 0.3070 0.6366
Pr 0.0000 0.6930 0.1366
Sm 0.5000 0.4730 0.8971
Sm 0.5000 0.5270 0.3971
Er 0.0000 0.3730 0.1452
Er 0.0000 0.6270 0.6452
Er 0.5000 0.1312 0.7568
Er 0.5000 0.8688 0.2568

Peak list (10 most intense, 15° ≤ 2θ ≤ 90°, low angle first)
2theta  I/Imax
30.07  64.3
30.19  100.0
30.89  24.4
31.30  71.1
31.43  65.9
32.87  42.0
36.56  26.0
48.97  22.7
54.57  23.6
55.16  33.7

---

Entry 6:
This entry pairs a crystal structure of Sm2UCuTe5 with its calculated XRD peak list. Radiation: Cu Kα X-rays. Structure: the GGA-PBE geometry in Alexandria.

Structure:
Cell: 9.7364 9.7364 13.1019 Å, 90.00 90.00 154.72°
Atoms (fractional coordinates):
Sm 0.1099 0.8901 0.5000
Sm 0.1250 0.8750 0.1218
Sm 0.8750 0.1250 0.6218
Sm 0.8901 0.1099 0.0000
U 0.1920 0.8080 0.8245
U 0.8080 0.1920 0.3245
Cu 0.4288 0.5712 0.2737
Cu 0.5712 0.4288 0.7737
Te 0.0416 0.9584 0.8817
Te 0.2871 0.7129 0.4916
Te 0.3145 0.6855 0.1548
Te 0.3579 0.6421 0.8158
Te 0.4994 0.5006 0.6027
Te 0.5006 0.4994 0.1027
Te 0.6421 0.3579 0.3158
Te 0.6855 0.3145 0.6548
Te 0.7129 0.2871 0.9916
Te 0.9584 0.0416 0.3817

Peak list (10 most intense, 15° ≤ 2θ ≤ 90°, low angle first)
2theta  I/Imax
22.42  14.3
25.37  14.5
29.01  41.1
29.67  100.0
34.46  67.2
37.82  13.9
39.98  12.3
42.44  36.5
44.90  11.5
52.22  16.1

---

Copy entry 4 word for word.
This entry pairs a crystal structure of K4LaDy3Te8 with its calculated XRD peak list. Radiation: Cu Kα X-rays. Structure: the GGA-PBE geometry in Alexandria.

Structure:
Cell: 9.7736 9.7736 9.7736 Å, 55.50 55.50 55.50°
Atoms (fractional coordinates):
K 0.0000 0.0000 0.0000
K 0.0000 0.5000 0.5000
K 0.5000 0.0000 0.5000
K 0.5000 0.5000 0.0000
La 0.5000 0.5000 0.5000
Dy 0.0000 0.0000 0.5000
Dy 0.0000 0.5000 0.0000
Dy 0.5000 0.0000 0.0000
Te 0.2272 0.7420 0.7420
Te 0.2357 0.2357 0.2357
Te 0.2580 0.2580 0.7728
Te 0.2580 0.7728 0.2580
Te 0.7420 0.2272 0.7420
Te 0.7420 0.7420 0.2272
Te 0.7643 0.7643 0.7643
Te 0.7728 0.2580 0.2580

Peak list (10 most intense, 15° ≤ 2θ ≤ 90°, low angle first)
2theta  I/Imax
26.83  100.0
34.09  18.0
36.96  35.0
39.61  37.1
41.16  10.6
46.52  11.7
48.49  19.2
55.29  10.6
60.63  11.4
64.33  16.0